Record 1
Hg5Br11N: simulated X-ray diffraction stick pattern (Cu Kα (weighted mean of Kα1 and Kα2)), based on a structure optimized by DFT (GGA-PBE).

Main lines, by angle (2θ = 10–90°):
2theta  I_rel
13.64  65
14.94  15
18.72  17
18.84  22
26.67  100
27.50  34
34.70  19
43.37  28
47.51  14
51.14  17

Cell lengths 10.2360, 10.2360, 7.1719 Å; angles 107.48, 107.48, 98.51 degrees
Fractional coordinates of all 17 atoms:
Hg 0.0000 0.0000 0.0000
Hg 0.1217 0.4493 0.2929
Hg 0.4493 0.1217 0.2929
Hg 0.5507 0.8783 0.7071
Hg 0.8783 0.5507 0.7071
Br 0.0357 0.3057 0.9145
Br 0.1425 0.1425 0.3778
Br 0.2125 0.6012 0.6689
Br 0.3057 0.0357 0.9145
Br 0.3988 0.7875 0.3311
Br 0.5000 0.5000 0.5000
Br 0.6012 0.2125 0.6689
Br 0.6943 0.9643 0.0855
Br 0.7875 0.3988 0.3311
Br 0.8575 0.8575 0.6222
Br 0.9643 0.6943 0.0855
N 0.5000 0.5000 0.0000

=====

Record 2
Hg2SBr4N2O3: simulated X-ray diffraction stick pattern (Cu Kα (weighted mean of Kα1 and Kα2)), based on a structure optimized by DFT (GGA-PBE).

Main lines, by angle (2θ = 10–90°):
2theta  I_rel
14.58  77
19.12  22
22.51  39
25.60  68
26.59  100
32.63  29
34.38  49
37.25  43
41.56  17
41.93  25

Cell lengths 8.8654, 6.9594, 12.7149 Å; angles 90.00, 101.39, 90.00 degrees
Fractional coordinates of all 24 atoms:
Hg 0.0997 0.2500 0.0995
Hg 0.3845 0.7500 0.9172
Hg 0.6155 0.2500 0.0828
Hg 0.9003 0.7500 0.9005
S 0.2111 0.2500 0.4642
S 0.7889 0.7500 0.5358
Br 0.0988 0.7500 0.0709
Br 0.1622 0.7500 0.7665
Br 0.3338 0.2500 0.2435
Br 0.3962 0.2500 0.9279
Br 0.6038 0.7500 0.0721
Br 0.6662 0.7500 0.7565
Br 0.8378 0.2500 0.2335
Br 0.9012 0.2500 0.9291
N 0.1140 0.2500 0.6939
N 0.3565 0.7500 0.5756
N 0.6435 0.2500 0.4244
N 0.8860 0.7500 0.3061
O 0.1329 0.0714 0.4344
O 0.1329 0.4286 0.4344
O 0.3632 0.2500 0.5293
O 0.6368 0.7500 0.4707
O 0.8671 0.5714 0.5656
O 0.8671 0.9286 0.5656

=====

Record 3
Na4HgBr6: simulated X-ray diffraction stick pattern (Cu Kα (weighted mean of Kα1 and Kα2)), based on a structure optimized by DFT (GGA-PBE).

Main lines, by angle (2θ = 10–90°):
2theta  I_rel
13.19  60
13.60  74
15.21  30
15.61  28
21.65  37
21.86  100
22.64  41
25.64  59
27.44  33
44.67  35

Cell lengths 8.1238, 8.1238, 14.0878 Å; angles 108.86, 108.86, 60.69 degrees
Fractional coordinates of all 22 atoms:
Na 0.0366 0.2815 0.7778
Na 0.1091 0.8909 0.5000
Na 0.2815 0.0366 0.2778
Na 0.4380 0.6619 0.8424
Na 0.6517 0.9527 0.6688
Na 0.6619 0.4380 0.3424
Na 0.8909 0.1091 0.0000
Na 0.9527 0.6517 0.1688
Hg 0.0729 0.4512 0.5707
Hg 0.4512 0.0729 0.0707
Br 0.0551 0.6336 0.7656
Br 0.2000 0.3829 0.0051
Br 0.2646 0.7212 0.3193
Br 0.2902 0.8277 0.0413
Br 0.3382 0.9126 0.7034
Br 0.3829 0.2000 0.5051
Br 0.6336 0.0551 0.2656
Br 0.7212 0.2646 0.8193
Br 0.7482 0.8239 0.9760
Br 0.8239 0.7482 0.4760
Br 0.8277 0.2902 0.5413
Br 0.9126 0.3382 0.2034

=====

Record 4
NaHgBr: simulated X-ray diffraction stick pattern (Cu Kα (weighted mean of Kα1 and Kα2)), based on a structure optimized by DFT (GGA-PBE).

Main lines, by angle (2θ = 10–90°):
2theta  I_rel
17.71  37
26.71  48
31.10  100
34.85  59
42.03  19
43.15  13
47.28  35
50.50  17
51.47  15
68.55  13

Cell lengths 20.0272, 4.2993, 4.1932 Å; angles 90.00, 90.00, 90.00 degrees
Fractional coordinates of all 12 atoms:
Na 0.1791 0.2500 0.2158
Na 0.3209 0.7500 0.7158
Na 0.6791 0.2500 0.2842
Na 0.8209 0.7500 0.7842
Hg 0.0057 0.2500 0.7496
Hg 0.4943 0.7500 0.2496
Hg 0.5057 0.2500 0.7504
Hg 0.9943 0.7500 0.2504
Br 0.1729 0.7500 0.7161
Br 0.3271 0.2500 0.2161
Br 0.6729 0.7500 0.7839
Br 0.8271 0.2500 0.2839

=====

Record 5
NaHg2Br: simulated X-ray diffraction stick pattern (Cu Kα (weighted mean of Kα1 and Kα2)), based on a structure optimized by DFT (GGA-PBE).

Main lines, by angle (2θ = 10–90°):
2theta  I_rel
16.60  17
22.24  21
25.54  25
25.66  25
27.34  24
31.14  53
31.76  100
33.72  25
43.70  17
43.97  18

Cell lengths 4.1427, 4.1192, 16.1461 Å; angles 90.00, 97.08, 90.00 degrees
Fractional coordinates of all 8 atoms:
Na 0.2085 0.2500 0.4122
Na 0.7915 0.7500 0.5878
Hg 0.0952 0.7500 0.1902
Hg 0.4557 0.7500 0.9165
Hg 0.5443 0.2500 0.0835
Hg 0.9048 0.2500 0.8098
Br 0.2970 0.2500 0.5986
Br 0.7030 0.7500 0.4014

=====

Record 6
Na3Hg2Br3O2: simulated X-ray diffraction stick pattern (Cu Kα (weighted mean of Kα1 and Kα2)), based on a structure optimized by DFT (GGA-PBE).

Main lines, by angle (2θ = 10–90°):
2theta  I_rel
14.72  54
22.15  22
29.42  100
29.68  56
32.17  80
36.35  58
40.67  52
47.60  34
51.15  48
54.26  22

Cell lengths 12.4418, 12.4418, 12.4418 Å; angles 159.46, 159.46, 29.21 degrees
Fractional coordinates of all 10 atoms:
Na 0.0000 0.0000 0.0000
Na 0.3780 0.3780 0.0000
Na 0.6220 0.6220 0.0000
Hg 0.2500 0.7500 0.5000
Hg 0.7500 0.2500 0.5000
Br 0.1237 0.1237 0.0000
Br 0.5000 0.5000 0.0000
Br 0.8763 0.8763 0.0000
O 0.2806 0.2806 0.0000
O 0.7194 0.7194 0.0000